[1]
For La14NdGa, a structure optimized by DFT (PBE) gives the computed PXRD pattern in this record (a wavelength of 1.5418 Å).
Lines closer than 0.1° are merged.

Atomic structure:
Cell: 10.3102 7.3255 7.3255 Å, 90.05 90.00 90.00°
Element x y z (fractional)
La: 0.0000 0.0000 0.0000
La: 0.0000 0.0005 0.4975
La: 0.0000 0.4975 0.0005
La: 0.0000 0.4988 0.4988
La: 0.2590 0.7357 0.7357
La: 0.2611 0.2628 0.7356
La: 0.2611 0.7356 0.2628
La: 0.2628 0.2627 0.2627
La: 0.5000 0.5017 0.9958
La: 0.5000 0.9958 0.5017
La: 0.7372 0.2627 0.2627
La: 0.7389 0.2628 0.7356
La: 0.7389 0.7356 0.2628
La: 0.7410 0.7357 0.7357
Nd: 0.5000 0.9990 0.9990
Ga: 0.5000 0.5002 0.5002

Peak list (10 most intense, 10 to 90 degrees two-theta, most intense first)
two_theta, I/Imax
29.9, 100
34.6, 34
59.2, 27
49.9, 23
34.8, 16
59.4, 13
49.8, 12
62.2, 11
81.1, 10
83.5, 7

[2]
For La3NdGa4O12, a structure optimized by DFT (PBE) gives the computed PXRD pattern in this record (a wavelength of 1.5418 Å).
Lines closer than 0.1° are merged.

Atomic structure:
Cell: 5.5106 5.5106 9.6797 Å, 107.02 107.02 60.93°
Element x y z (fractional)
La: 0.0003 0.9997 0.0000
La: 0.2490 0.2490 0.7492
La: 0.7510 0.7510 0.2508
Nd: 0.4997 0.5003 0.5000
Ga: 0.1253 0.1255 0.3757
Ga: 0.3759 0.3753 0.1258
Ga: 0.6247 0.6241 0.8742
Ga: 0.8745 0.8747 0.6243
O: 0.2861 0.7118 0.7125
O: 0.2882 0.7139 0.2875
O: 0.3232 0.1839 0.2534
O: 0.4313 0.5687 0.0000
O: 0.4634 0.0339 0.9653
O: 0.4644 0.0332 0.5351
O: 0.7860 0.2126 0.7856
O: 0.7874 0.2140 0.2144
O: 0.8161 0.6768 0.7466
O: 0.9233 0.0767 0.5000
O: 0.9661 0.5366 0.0347
O: 0.9668 0.5356 0.4649

Peak list (10 most intense, 10 to 90 degrees two-theta, most intense first)
two_theta, I/Imax
32.5, 100
32.0, 97
46.3, 57
57.4, 42
57.1, 24
58.3, 19
77.2, 17
68.1, 17
22.7, 16
76.4, 16

[3]
For La3NdGa4O12, a structure optimized by DFT (PBE) gives the computed PXRD pattern in this record (a wavelength of 1.5418 Å).
Lines closer than 0.1° are merged.

Atomic structure:
Cell: 5.5413 7.8596 5.5876 Å, 90.00 90.11 90.00°
Element x y z (fractional)
La: 0.0000 0.0000 0.0000
La: 0.0174 0.5000 0.0720
La: 0.5005 0.5000 0.5693
Nd: 0.5194 0.0000 0.4916
Ga: 0.0087 0.2486 0.5364
Ga: 0.0087 0.7514 0.5364
Ga: 0.5081 0.2490 0.0338
Ga: 0.5081 0.7510 0.0338
O: 0.0941 0.0000 0.5526
O: 0.2215 0.2920 0.8236
O: 0.2215 0.7080 0.8236
O: 0.2933 0.2904 0.3224
O: 0.2933 0.7096 0.3224
O: 0.4305 0.0000 0.0572
O: 0.5861 0.5000 0.0196
O: 0.7208 0.2050 0.7474
O: 0.7208 0.7950 0.7474
O: 0.7902 0.2059 0.2527
O: 0.7902 0.7941 0.2527
O: 0.9317 0.5000 0.5203

Peak list (10 most intense, 10 to 90 degrees two-theta, most intense first)
two_theta, I/Imax
32.2, 100
57.5, 33
46.1, 26
32.3, 24
32.0, 23
57.2, 15
46.2, 14
67.4, 14
76.7, 13
22.6, 12

[4]
For La2Nd2Ga4Si, a structure optimized by DFT (PBE) gives the computed PXRD pattern in this record (a wavelength of 1.5418 Å).
Lines closer than 0.1° are merged.

Atomic structure:
Cell: 6.7798 6.7798 6.7798 Å, 115.98 115.98 97.11°
Element x y z (fractional)
La: 0.2500 0.7500 0.5000
La: 0.7500 0.2500 0.5000
Nd: 0.1906 0.1906 0.0000
Nd: 0.8094 0.8094 0.0000
Ga: 0.2584 0.2584 0.5168
Ga: 0.2584 0.7416 0.0000
Ga: 0.7416 0.2584 0.0000
Ga: 0.7416 0.7416 0.4832
Si: 0.5000 0.5000 0.0000

Peak list (10 most intense, 10 to 90 degrees two-theta, most intense first)
two_theta, I/Imax
31.9, 100
35.3, 53
61.3, 30
50.8, 18
32.4, 16
24.8, 15
54.6, 14
41.2, 13
40.2, 9
55.4, 8